(1)
Ca2MgZn6: simulated powder X-ray diffraction pattern (λ = 1.5418 Å (Cu Kα)), based on the PBE geometry in Alexandria.

```
Ca2MgZn6
1.0
5.822 0.000 0.000
-2.911 5.042 0.000
0.000 0.000 6.208
Ca Mg Zn
2 1 6
direct
0.333 0.667 0.143 Ca
0.667 0.333 0.857 Ca
0.000 0.000 0.000 Mg
0.178 0.356 0.652 Zn
0.178 0.822 0.652 Zn
0.356 0.178 0.348 Zn
0.644 0.822 0.652 Zn
0.822 0.178 0.348 Zn
0.822 0.644 0.348 Zn
```

The 12 most intense peaks (2θ from 10° to 90°), low angle first:
Position (°2θ)  intensity
14.27  37.2
22.72  11.4
33.91  44.6
34.01  24.9
35.61  23.0
38.54  100.0
43.74  11.0
46.40  35.5
56.71  17.1
63.96  19.3
77.22  10.4
87.59  11.2


(2)
CaMg3Zn3: simulated powder X-ray diffraction pattern (λ = 1.5418 Å (Cu Kα)), based on the PBE geometry in Alexandria.

```
CaMg3Zn3
1.0
7.442 0.000 0.000
0.000 4.812 0.000
-3.137 0.000 8.435
Ca Mg Zn
2 6 6
direct
0.123 0.250 0.367 Ca
0.877 0.750 0.633 Ca
0.089 0.750 0.085 Mg
0.244 0.250 0.777 Mg
0.369 0.750 0.619 Mg
0.631 0.250 0.381 Mg
0.756 0.750 0.223 Mg
0.911 0.250 0.915 Mg
0.302 0.250 0.106 Zn
0.383 0.750 0.961 Zn
0.427 0.750 0.327 Zn
0.573 0.250 0.673 Zn
0.617 0.250 0.039 Zn
0.698 0.750 0.894 Zn
```

The 12 most intense peaks (2θ from 10° to 90°), low angle first:
Position (°2θ)  intensity
10.49  70.6
12.69  100.0
27.68  24.7
31.69  37.8
33.23  27.0
33.98  56.0
36.31  40.2
37.03  39.1
37.38  77.5
38.27  83.6
42.96  34.5
43.21  39.1


(3)
Ca2MgZn16: simulated powder X-ray diffraction pattern (λ = 1.5418 Å (Cu Kα)), based on the PBE geometry in Alexandria.

```
Ca2MgZn16
1.0
4.573 2.640 4.416
-4.573 2.640 4.416
0.000 -5.281 4.416
Ca Mg Zn
2 1 16
direct
0.000 0.000 0.000 Ca
0.315 0.315 0.315 Ca
0.751 0.751 0.751 Mg
0.010 0.010 0.499 Zn
0.010 0.499 0.010 Zn
0.162 0.657 0.657 Zn
0.307 0.307 0.820 Zn
0.307 0.820 0.307 Zn
0.360 0.658 0.957 Zn
0.360 0.957 0.658 Zn
0.499 0.010 0.010 Zn
0.544 0.544 0.544 Zn
0.657 0.162 0.657 Zn
0.657 0.657 0.162 Zn
0.658 0.360 0.957 Zn
0.658 0.957 0.360 Zn
0.820 0.307 0.307 Zn
0.957 0.360 0.658 Zn
0.957 0.658 0.360 Zn
```

The 12 most intense peaks (2θ from 10° to 90°), low angle first:
Position (°2θ)  intensity
19.41  39.3
33.95  20.6
35.33  19.9
39.40  48.4
39.77  89.5
40.87  39.1
40.98  15.5
44.62  100.0
45.62  21.9
71.45  19.8
73.68  16.6
85.74  15.2